For MgGa2S4, a crystal structure in the Materials Project, relaxed with GGA-PBE gives the computed X-ray diffraction stick pattern in this record (copper Kα).
No peak broadening, texture or thermal motion is included.

a b c (Å): 10.3917 10.3917 10.3917
angles (deg): 90.00 90.00 90.00
Space group Fd-3m (No. 227, origin choice 2)
Symmetry-distinct sites (fractional):
Mg  0.1250  0.1250  0.1250 x8
Ga  0.0000  0.0000  0.5000 x16
S  0.0113  0.0113  0.7387 x32

Largest 10 diffraction maxima, in order of falling intensity, 15 to 90 degrees two-theta:
- 34.52°, d = 2.598 Å, rel. 100, (4 0 0)
- 49.63°, d = 1.837 Å, rel. 94, (4 4 0)
- 28.49°, d = 3.133 Å, rel. 82, (3 1 1)
- 45.35°, d = 2.000 Å, rel. 47, (5 1 1)
- 83.14°, d = 1.162 Å, rel. 25, (8 4 0)
- 61.86°, d = 1.500 Å, rel. 20, (4 4 4)
- 52.07°, d = 1.757 Å, rel. 18, (5 3 1)
- 69.48°, d = 1.353 Å, rel. 16, (5 5 3)
- 72.81°, d = 1.299 Å, rel. 13, (8 0 0)
- 79.95°, d = 1.200 Å, rel. 12, (5 5 5)